Starting from a crystal structure in Alexandria, relaxed with GGA-PBE, the powder X-ray diffraction pattern of CoNCl3 was computed for Cu Kα X-rays.
No peak broadening, texture or thermal motion is included.

Crystal structure
abc: 8.4168 5.9364 11.2239
angles: 90.00 108.82 90.00
Space group P2_1/c (No. 14)
Asymmetric unit:
Co1 0.0879 0.0533 0.3794 (multiplicity 4)
N1 0.2842 0.5238 0.8875 (multiplicity 4)
Cl1 0.0937 0.7190 0.0325 (multiplicity 4)
Cl2 0.1069 0.1086 0.7889 (multiplicity 4)
Cl3 0.3898 0.0334 0.2902 (multiplicity 4)

Most intense lines, 2θ from 10° to 90°, sorted by position:
- (1 0 0), 11.11 deg, d = 7.967 Å, rel. 100
- (0 1 1), 17.11 deg, d = 5.182 Å, rel. 46
- (1 1 1), 21.88 deg, d = 4.062 Å, rel. 24
- (0 1 2), 22.46 deg, d = 3.959 Å, rel. 13
- (1 0 2), 22.92 deg, d = 3.879 Å, rel. 23
- (1 1 2), 27.46 deg, d = 3.248 Å, rel. 17
- (2 1 -3), 31.69 deg, d = 2.824 Å, rel. 17
- (1 2 -2), 34.65 deg, d = 2.589 Å, rel. 14
- (2 2 -2), 38.34 deg, d = 2.348 Å, rel. 8
- (3 3 0), 58.14 deg, d = 1.587 Å, rel. 7